1.
Structure and computed powder XRD pattern of GdF4 (a crystal structure in OQMD, relaxed with PBE; Cu Kα (weighted mean of Kα1 and Kα2)).
Lines closer than 0.1° are merged.

The 10 most intense peaks (2θ = 10–90°), low angle first:
5.247 Å, rel. 67; 5.212 Å, rel. 47; 4.570 Å, rel. 100; 3.801 Å, rel. 48; 3.436 Å, rel. 48; 3.175 Å, rel. 46; 3.036 Å, rel. 40; 3.016 Å, rel. 79; 2.646 Å, rel. 84; 1.737 Å, rel. 40

Atomic structure:
abc: 6.066 6.066 4.672
angles: 96.10 96.10 118.45
Positions (direct):
Gd: 0.171 0.829 0.000
Gd: 0.829 0.171 0.000
F: 0.110 0.110 0.790
F: 0.113 0.539 0.267
F: 0.410 0.410 0.577
F: 0.461 0.887 0.733
F: 0.539 0.113 0.267
F: 0.590 0.590 0.423
F: 0.887 0.461 0.733
F: 0.890 0.890 0.210

2.
Structure and computed powder XRD pattern of Sr2Hf2Pt3 (a crystal structure in OQMD, relaxed with PBE; Cu Kα (weighted mean of Kα1 and Kα2)).
Lines closer than 0.1° are merged.

The 10 most intense peaks (2θ = 10–90°), low angle first:
7.960 Å, rel. 9; 4.162 Å, rel. 7; 3.984 Å, rel. 13; 2.439 Å, rel. 100; 2.080 Å, rel. 7; 1.796 Å, rel. 3; 1.725 Å, rel. 17; 1.408 Å, rel. 35; 1.220 Å, rel. 11; 1.091 Å, rel. 16

Atomic structure:
abc: 8.444 8.444 8.444
angles: 33.60 33.60 33.60
Positions (direct):
Sr: 0.000 0.000 0.000
Sr: 0.494 0.494 0.494
Hf: 0.252 0.252 0.252
Hf: 0.741 0.741 0.741
Pt: 0.372 0.372 0.372
Pt: 0.621 0.621 0.621
Pt: 0.869 0.869 0.869

- What is the formula in the second record?
  Sr2Hf2Pt3